Record 1
Structure and simulated X-ray powder pattern of Li4Mn3CoO8 (the GGA+U geometry in the Materials Project; Cu Ka).
No peak broadening, texture or thermal motion is included.

Peak list (10 most intense, 15° ≤ 2θ ≤ 90°, low angle first)
two_theta, d/Å, I (rel.)
18.1, 4.890, 1000
34.6, 2.595, 336
36.5, 2.464, 109
36.6, 2.452, 90
41.8, 2.160, 599
44.6, 2.032, 236
47.0, 1.933, 90
55.4, 1.658, 94
62.5, 1.486, 143
63.0, 1.474, 144

Crystal structure
a = 5.0465 Å, b = 3.0745 Å, c = 10.0142 Å
α = 90.00°, β = 102.40°, γ = 90.00°
Sites, in units of the cell vectors:
Li (0.2483, 0.0000, 0.2503)
Li (0.2491, 0.5000, 0.7526)
Li (0.7509, 0.5000, 0.2474)
Li (0.7517, 0.0000, 0.7497)
Mn (0.0000, 0.0000, 0.5000)
Mn (0.0000, 0.5000, 0.0000)
Mn (0.5000, 0.5000, 0.5000)
Co (0.5000, 0.0000, 0.0000)
O (0.1383, 0.0000, 0.8826)
O (0.1417, 0.5000, 0.3832)
O (0.3588, 0.0000, 0.6146)
O (0.3634, 0.5000, 0.1107)
O (0.6366, 0.5000, 0.8893)
O (0.6412, 0.0000, 0.3854)
O (0.8583, 0.5000, 0.6168)
O (0.8617, 0.0000, 0.1174)

Record 2
Structure and simulated X-ray powder pattern of Li7Mn4CoO12 (the GGA+U geometry in the Materials Project; Cu Ka).
No peak broadening, texture or thermal motion is included.

Peak list (10 most intense, 15° ≤ 2θ ≤ 90°, low angle first)
two_theta, d/Å, I (rel.)
18.3, 4.856, 1000
34.7, 2.585, 143
36.2, 2.483, 226
36.7, 2.446, 78
42.1, 2.149, 285
43.9, 2.064, 548
47.4, 1.919, 76
57.7, 1.597, 90
62.2, 1.492, 142
62.5, 1.485, 136

Crystal structure
a = 5.1223 Å, b = 5.1223 Å, c = 15.6949 Å
α = 98.50°, β = 98.50°, γ = 32.69°
Sites, in units of the cell vectors:
Li (0.0000, 0.0000, 0.0000)
Li (0.0006, 0.0006, 0.3340)
Li (0.4935, 0.4935, 0.4836)
Li (0.4972, 0.4972, 0.8272)
Li (0.5052, 0.5052, 0.1631)
Li (0.7465, 0.7465, 0.4080)
Li (0.9879, 0.9879, 0.6517)
Mn (0.2338, 0.2338, 0.5638)
Mn (0.2522, 0.2522, 0.9145)
Mn (0.2544, 0.2544, 0.2514)
Mn (0.7386, 0.7386, 0.7385)
Co (0.7554, 0.7554, 0.0828)
O (0.1262, 0.1262, 0.7765)
O (0.1269, 0.1269, 0.4586)
O (0.1406, 0.1406, 0.1265)
O (0.3483, 0.3483, 0.6958)
O (0.3660, 0.3660, 0.3564)
O (0.3741, 0.3741, 0.0438)
O (0.6261, 0.6261, 0.6067)
O (0.6391, 0.6391, 0.9531)
O (0.6400, 0.6400, 0.2806)
O (0.8509, 0.8509, 0.5381)
O (0.8607, 0.8607, 0.2067)
O (0.8628, 0.8628, 0.8732)